Structure and calculated X-ray powder pattern of Cs2HgIrBr6 (a structure optimized by DFT (GGA-PBE); copper Kα).
Intensities are scaled so that the largest is 100.

Principal peaks in the range 15° ≤ 2θ ≤ 90°, in order of rising 2θ:
2θ 15.82, I = 39
2θ 22.33, I = 98
2θ 22.44, I = 48
2θ 31.63, I = 51
2θ 31.94, I = 100
2θ 39.32, I = 41
2θ 45.57, I = 69
2θ 45.80, I = 35

Cell and atoms:
```
Cs2HgIrBr6
1.0
7.9248 0.0000 0.0000
0.0000 11.3149 0.0000
0.0000 0.0000 7.9245
Cs Hg Ir Br
4 2 2 12
Cartesian
1.9812 11.3144 1.9817 Cs
1.9812 5.6580 1.9817 Cs
5.9436 0.0005 5.9428 Cs
5.9436 5.6569 5.9428 Cs
1.9812 2.8287 5.9333 Hg
5.9436 8.4862 1.9912 Hg
1.9812 8.4862 5.9497 Ir
5.9436 2.8287 1.9748 Ir
0.1884 8.4862 7.7357 Br
0.1948 8.4862 4.1570 Br
1.9812 5.9627 5.9533 Br
1.9812 11.0097 5.9533 Br
3.7675 8.4862 4.1570 Br
3.7740 8.4862 7.7357 Br
4.1508 2.8287 0.1888 Br
4.1572 2.8287 3.7675 Br
5.9436 0.3052 1.9712 Br
5.9436 5.3522 1.9712 Br
7.7299 2.8287 3.7675 Br
7.7364 2.8287 0.1888 Br
```

***

Structure and calculated X-ray powder pattern of Zn2GaF6 (a structure optimized by DFT (GGA-PBE); copper Kα).
Intensities are scaled so that the largest is 100.

Principal peaks in the range 15° ≤ 2θ ≤ 90°, in order of rising 2θ:
2θ 25.86, I = 100
2θ 33.27, I = 62
2θ 38.18, I = 15
2θ 50.52, I = 70
2θ 53.17, I = 20
2θ 60.05, I = 12
2θ 63.61, I = 14
2θ 64.18, I = 24

Cell and atoms:
```
Zn2GaF6
1.0
4.8720 0.0000 0.0000
0.0000 4.8720 0.0000
0.0000 0.0000 9.6944
Zn Ga F
4 2 12
Cartesian
0.0000 0.0000 1.6133 Zn
0.0000 0.0000 8.0811 Zn
2.4360 2.4360 3.2339 Zn
2.4360 2.4360 6.4605 Zn
0.0000 0.0000 4.8472 Ga
2.4360 2.4360 0.0000 Ga
0.9545 0.9545 3.2399 F
0.9545 0.9545 6.4546 F
0.9637 0.9637 0.0000 F
1.4723 3.3997 4.8472 F
1.4815 3.3905 1.6074 F
1.4815 3.3905 8.0871 F
3.3905 1.4815 1.6074 F
3.3905 1.4815 8.0871 F
3.3997 1.4723 4.8472 F
3.9083 3.9083 0.0000 F
3.9175 3.9175 3.2399 F
3.9175 3.9175 6.4546 F
```

***

Structure and calculated X-ray powder pattern of Hg2H3F8 (a structure optimized by DFT (GGA-PBE); copper Kα).
Intensities are scaled so that the largest is 100.

Principal peaks in the range 15° ≤ 2θ ≤ 90°, in order of rising 2θ:
2θ 19.19, I = 100
2θ 22.05, I = 48
2θ 22.21, I = 45
2θ 26.21, I = 94
2θ 26.41, I = 72
2θ 29.45, I = 32
2θ 41.31, I = 34
2θ 41.53, I = 39

Cell and atoms:
```
Hg2H3F8
1.0
7.0331 -2.5016 0.0000
7.0331 2.5016 0.0000
-6.7579 0.0000 11.5179
Hg H F
4 6 16
Cartesian
0.7530 0.4587 1.5171 Hg
-2.6259 -0.4587 7.2761 Hg
9.9342 0.4587 4.2418 Hg
6.5552 -0.4587 10.0008 Hg
1.3443 0.4889 4.6027 H
1.9646 0.9381 8.6385 H
-2.0347 -0.4889 10.3616 H
9.3429 0.4889 1.1563 H
5.3436 -0.9381 2.8795 H
5.9640 -0.4889 6.9153 H
1.4627 1.2799 5.2013 F
-2.0112 0.6076 9.4513 F
6.3043 1.6064 0.7687 F
4.3829 1.6064 4.9903 F
0.8206 0.9173 8.5482 F
1.3677 -0.6076 3.6924 F
3.1087 0.9173 8.7287 F
9.2245 1.2799 0.5577 F
-1.9162 -1.2799 10.9602 F
4.1996 -0.9173 2.7893 F
5.9405 0.6076 7.8256 F
6.4876 -0.9173 2.9697 F
2.9254 -1.6064 6.5276 F
1.0039 -1.6064 10.7493 F
9.3195 -0.6076 2.0666 F
5.8455 -1.2799 6.3167 F
```